Entry 1:
Calculated PXRD pattern
Compound: Rb3YF6
Radiation: Cu Kα, 1.54184 Å
Structure: the PBE geometry in Alexandria

Cell: 7.144 7.144 9.655 Å, 90.00 90.00 90.00°
Space group I4/mmm (No. 139)
Symmetry-distinct sites (fractional):
Rb1 0.000 0.000 0.000 [2 per cell]
Rb2 0.000 0.500 0.250 [4 per cell]
Y1 0.000 0.000 0.500 [2 per cell]
F1 0.000 0.000 0.270 [4 per cell]
F2 0.000 0.305 0.500 [8 per cell]

Peak list (10 most intense, 2θ = 10–90°, sorted by position)
index  2θ (°)  I/Imax
2 0 0  24.93  100.0
1 1 2  25.52  93.3
2 2 0  35.54  26.2
0 0 4  37.25  22.8
3 1 2  44.26  57.1
2 0 4  45.34  36.7
2 2 4  52.43  16.5
4 2 0  57.71  15.3
3 3 2  58.01  16.0
4 2 4  70.72  16.2


Entry 2:
Calculated PXRD pattern
Compound: Rb2YF7
Radiation: Cu Kα, 1.54184 Å
Structure: the PBE geometry in Alexandria

Cell: 6.103 6.103 10.199 Å, 90.00 90.00 90.00°
Space group I4/mmm (No. 139)
Symmetry-distinct sites (fractional):
Rb1 0.000 0.500 0.250 [4 per cell]
Y1 0.000 0.000 0.000 [2 per cell]
F1 0.000 0.000 0.211 [4 per cell]
F2 0.000 0.000 0.500 [2 per cell]
F3 0.248 0.248 0.500 [8 per cell]

Peak list (10 most intense, 2θ = 10–90°, sorted by position)
index  2θ (°)  I/Imax
1 0 1  16.93  32.2
1 1 2  27.07  100.0
2 0 0  29.27  39.3
2 0 2  34.24  27.3
0 0 4  35.20  29.8
2 2 0  41.86  38.5
2 0 4  46.41  18.9
3 1 2  50.57  34.7
2 2 4  55.81  28.1
0 0 8  74.37  15.6


Entry 3:
Calculated PXRD pattern
Compound: Rb2Zn3F10
Radiation: Cu Kα, 1.54184 Å
Structure: the PBE geometry in Alexandria

Cell: 19.044 6.222 8.240 Å, 90.00 112.24 90.00°
Space group C2/m (No. 12)
Symmetry-distinct sites (fractional):
Rb1 0.114 0.000 0.226 [4 per cell]
Rb2 0.213 0.000 0.811 [4 per cell]
Zn1 0.000 0.249 0.500 [4 per cell]
Zn2 0.074 0.500 0.962 [4 per cell]
Zn3 0.179 0.500 0.507 [4 per cell]
F1 0.000 0.300 0.000 [4 per cell]
F2 0.022 0.000 0.671 [4 per cell]
F3 0.024 0.500 0.681 [4 per cell]
F4 0.106 0.263 0.516 [8 per cell]
F5 0.137 0.500 0.257 [4 per cell]
F6 0.142 0.275 0.972 [8 per cell]
F7 0.229 0.500 0.753 [4 per cell]
F8 0.250 0.250 0.500 [4 per cell]

Peak list (10 most intense, 2θ = 10–90°, sorted by position)
index  2θ (°)  I/Imax
1 1 -2  26.22  66.5
3 1 1  26.57  100.0
3 1 -2  26.71  90.7
6 0 -1  28.11  97.1
0 2 0  28.69  33.2
0 2 2  37.30  46.8
6 2 -1  40.61  88.3
3 3 1  49.59  31.9
2 2 3  50.37  31.0
4 2 -4  53.41  29.3